The following is a simulated powder X-ray diffraction pattern of CaSbOs4. It was derived from a cell relaxed with PBE, using Cu Kα (weighted mean of Kα1 and Kα2).
Peak positions follow from Bragg's law for the DFT cell and can differ from measured ones.

Largest 10 diffraction maxima, in order of falling intensity, 2θ = 10–90°:
2theta  I_rel
39.6  100
41.5  69
20.4  51
64.2  32
70.7  31
85.4  27
48.3  20
52.9  13
84.2  12
74.5  10

Structure:
Cell: 5.3310 5.3310 5.3310 Å, 60.00 60.00 60.00°
Positions (direct):
Ca 0.0000 0.0000 0.0000
Sb 0.2500 0.2500 0.2500
Os 0.1257 0.6248 0.6248
Os 0.6248 0.1257 0.6248
Os 0.6248 0.6248 0.1257
Os 0.6248 0.6248 0.6248